This entry pairs a crystal structure of K2LiMn2O4 with its simulated powder diffraction line list. Radiation: Cu Kα (weighted mean of Kα1 and Kα2). Structure: the PBE+U geometry in Alexandria.

Crystal structure
a = 8.827 Å, b = 9.488 Å, c = 6.638 Å
α = 90.00°, β = 94.71°, γ = 90.00°
Space group C2 (No. 5)
Inequivalent atoms, fractional coordinates:
K (0.000, 0.000, 0.000) x2
K (0.000, 0.042, 0.500) x2
K (0.245, 0.279, 0.261) x4
Li (0.000, 0.375, 0.000) x2
Li (0.000, 0.670, 0.500) x2
Mn (0.189, 0.419, 0.715) x4
Mn (0.197, 0.643, 0.213) x4
O (0.098, 0.809, 0.303) x4
O (0.099, 0.235, 0.808) x4
O (0.180, 0.543, 0.473) x4
O (0.190, 0.503, 0.004) x4

Most intense lines, 2θ = 10–80°, low angle first:
Position (°2θ)  d/Å  I (rel.)  (hkl)
18.6  4.762  34  1 1 -1
19.8  4.485  41  1 1 1
20.2  4.398  70  2 0 0
31.1  2.874  34  1 1 2
31.6  2.833  36  2 2 1
31.9  2.801  100  3 1 0
32.5  2.755  45  2 0 -2
32.6  2.743  90  1 3 -1
33.0  2.713  62  0 2 2
33.4  2.686  37  1 3 1